# Ba3Ho2Cu2PtS10
Calculated powder XRD pattern, Cu Kα, 1.54184 Å. Input: a cell relaxed with GGA-PBE.
Peak positions follow from Bragg's law for the DFT cell and can differ from measured ones.

Top 10 peaks for 2θ = 15–90°, by angle:
| d [Å] | two_theta | I_rel |
| --- | --- | --- |
| 3.902 | 22.79 | 55 |
| 3.677 | 24.21 | 44 |
| 3.369 | 26.46 | 47 |
| 3.219 | 27.71 | 100 |
| 2.669 | 33.58 | 20 |
| 2.623 | 34.18 | 22 |
| 2.489 | 36.09 | 26 |
| 2.362 | 38.09 | 39 |
| 1.934 | 46.99 | 20 |
| 1.915 | 47.48 | 22 |

Atomic structure:
a = 8.1714 Å, b = 8.1714 Å, c = 8.7757 Å
α = 106.11°, β = 106.11°, γ = 48.70°
Element x y z (fractional)
1 Ba 0.0000 0.0000 0.0000
2 Ba 0.1557 0.1557 0.5590
3 Ba 0.8443 0.8443 0.4410
4 Ho 0.3235 0.3235 0.1297
5 Ho 0.6765 0.6765 0.8703
6 Cu 0.4072 0.4072 0.7771
7 Cu 0.5928 0.5928 0.2229
8 Pt 0.5000 0.5000 0.5000
9 S 0.0877 0.5511 0.8709
10 S 0.2470 0.7161 0.2857
11 S 0.2839 0.7530 0.7143
12 S 0.3325 0.3325 0.4549
13 S 0.4489 0.9123 0.1291
14 S 0.5511 0.0877 0.8709
15 S 0.6675 0.6675 0.5451
16 S 0.7161 0.2470 0.2857
17 S 0.7530 0.2839 0.7143
18 S 0.9123 0.4489 0.1291

# Li2Sc2In2NiPt
Calculated powder XRD pattern, Cu Kα, 1.54184 Å. Input: a cell relaxed with GGA-PBE.
Peak positions follow from Bragg's law for the DFT cell and can differ from measured ones.

Top 10 peaks for 2θ = 15–90°, by angle:
| d [Å] | two_theta | I_rel |
| --- | --- | --- |
| 4.564 | 19.45 | 9 |
| 3.731 | 23.85 | 58 |
| 2.889 | 30.96 | 8 |
| 2.285 | 39.44 | 100 |
| 1.952 | 46.52 | 10 |
| 1.947 | 46.65 | 20 |
| 1.614 | 57.07 | 11 |
| 1.483 | 62.62 | 8 |
| 1.321 | 71.42 | 11 |
| 1.318 | 71.57 | 22 |

Atomic structure:
a = 4.5644 Å, b = 4.5644 Å, c = 6.4785 Å
α = 90.00°, β = 90.00°, γ = 90.00°
Element x y z (fractional)
1 Li 0.0000 0.0000 0.0000
2 Li 0.5000 0.5000 0.5000
3 Sc 0.0000 0.5000 0.7468
4 Sc 0.5000 0.0000 0.2532
5 In 0.0000 0.5000 0.2640
6 In 0.5000 0.0000 0.7360
7 Ni 0.0000 0.0000 0.5000
8 Pt 0.5000 0.5000 0.0000